Entry 1:
Calculated powder diffraction line list of Cs2GdYS4 for a wavelength of 1.5418 Å, from a structure optimized by DFT (PBE).
No peak broadening, texture or thermal motion is included.

Peak list (6 most intense, 2θ = 10–90°, low angle first)
Position (°2θ)	Rel. int.
22.13	39
25.59	29
27.36	100
30.11	78
42.20	48
43.98	45

Cell and atoms:
Cell: 4.118 4.118 16.066 Å, 90.00 90.00 120.00°
Atoms (fractional coordinates):
Cs 0.333 0.667 0.250
Cs 0.667 0.333 0.750
Gd 0.000 0.000 0.000
Y 0.000 0.000 0.500
S 0.333 0.667 0.591
S 0.333 0.667 0.908
S 0.667 0.333 0.092
S 0.667 0.333 0.409

---

Entry 2:
Calculated powder diffraction line list of CsGdTeSe for a wavelength of 1.5418 Å, from a structure optimized by DFT (PBE).
No peak broadening, texture or thermal motion is included.

Peak list (6 most intense, 2θ = 10–90°, low angle first)
Position (°2θ)	Rel. int.
10.22	20
25.41	48
27.94	100
31.17	21
39.07	42
40.77	50

Cell and atoms:
Cell: 4.426 4.426 17.313 Å, 90.00 90.00 120.00°
Atoms (fractional coordinates):
Cs 0.000 0.000 0.000
Cs 0.333 0.667 0.500
Gd 0.667 0.333 0.237
Gd 0.667 0.333 0.763
Te 0.000 0.000 0.340
Te 0.000 0.000 0.660
Se 0.333 0.667 0.151
Se 0.333 0.667 0.849

---

Entry 3:
Calculated powder diffraction line list of Cs2TbGdTe4 for a wavelength of 1.5418 Å, from a structure optimized by DFT (PBE).
No peak broadening, texture or thermal motion is included.

Peak list (6 most intense, 2θ = 10–90°, low angle first)
Position (°2θ)	Rel. int.
24.59	38
27.04	100
30.16	24
37.81	44
39.42	50
48.46	20

Cell and atoms:
Cell: 4.572 4.572 17.865 Å, 90.00 90.00 120.00°
Atoms (fractional coordinates):
Cs 0.333 0.667 0.250
Cs 0.667 0.333 0.750
Tb 0.000 0.000 0.500
Gd 0.000 0.000 0.000
Te 0.333 0.667 0.595
Te 0.333 0.667 0.904
Te 0.667 0.333 0.096
Te 0.667 0.333 0.405

---

Entry 4:
Calculated powder diffraction line list of Cs2GdTmTe4 for a wavelength of 1.5418 Å, from a structure optimized by DFT (PBE).
No peak broadening, texture or thermal motion is included.

Peak list (6 most intense, 2θ = 10–90°, low angle first)
Position (°2θ)	Rel. int.
24.74	39
27.19	100
30.31	25
37.96	45
39.68	51
48.77	20

Cell and atoms:
Cell: 4.543 4.543 17.818 Å, 90.00 90.00 120.00°
Atoms (fractional coordinates):
Cs 0.333 0.667 0.248
Cs 0.667 0.333 0.752
Gd 0.000 0.000 0.500
Tm 0.000 0.000 0.000
Te 0.333 0.667 0.597
Te 0.333 0.667 0.907
Te 0.667 0.333 0.093
Te 0.667 0.333 0.403

---

Entry 5:
Calculated powder diffraction line list of CsGdZr for a wavelength of 1.5418 Å, from a structure optimized by DFT (PBE).
No peak broadening, texture or thermal motion is included.

Peak list (6 most intense, 2θ = 10–90°, low angle first)
Position (°2θ)	Rel. int.
20.68	34
34.10	100
40.21	18
48.99	18
61.03	37
81.92	16

Cell and atoms:
Cell: 5.259 5.259 5.259 Å, 60.00 60.00 60.00°
Atoms (fractional coordinates):
Cs 0.000 0.000 0.000
Gd 0.750 0.750 0.750
Zr 0.250 0.250 0.250

---

Entry 6:
Calculated powder diffraction line list of CsHg3GeS4 for a wavelength of 1.5418 Å, from a structure optimized by DFT (PBE).
No peak broadening, texture or thermal motion is included.

Peak list (6 most intense, 2θ = 10–90°, low angle first)
Position (°2θ)	Rel. int.
14.53	63
20.25	100
29.07	83
29.31	60
37.07	60
47.75	61

Cell and atoms:
Cell: 7.007 7.670 10.156 Å, 90.00 98.70 90.00°
Atoms (fractional coordinates):
Cs 0.220 0.250 0.118
Cs 0.780 0.750 0.882
Hg 0.226 0.557 0.508
Hg 0.226 0.943 0.508
Hg 0.463 0.250 0.739
Hg 0.537 0.750 0.261
Hg 0.774 0.057 0.492
Hg 0.774 0.443 0.492
Ge 0.022 0.750 0.284
Ge 0.978 0.250 0.716
S 0.183 0.019 0.771
S 0.183 0.481 0.771
S 0.217 0.750 0.125
S 0.393 0.250 0.475
S 0.607 0.750 0.525
S 0.783 0.250 0.875
S 0.817 0.519 0.229
S 0.817 0.981 0.229

---

Entry 7:
Calculated powder diffraction line list of CsNdGeS4 for a wavelength of 1.5418 Å, from a structure optimized by DFT (PBE).
No peak broadening, texture or thermal motion is included.

Peak list (6 most intense, 2θ = 10–90°, low angle first)
Position (°2θ)	Rel. int.
19.07	99
23.63	79
24.22	78
26.04	93
30.53	100
38.69	79

Cell and atoms:
Cell: 6.667 6.843 9.468 Å, 90.00 107.73 90.00°
Atoms (fractional coordinates):
Cs 0.229 0.000 0.436
Cs 0.771 0.500 0.564
Nd 0.272 0.979 0.953
Nd 0.728 0.479 0.047
Ge 0.278 0.512 0.168
Ge 0.722 0.012 0.832
S 0.077 0.573 0.937
S 0.080 0.508 0.316
S 0.477 0.249 0.791
S 0.481 0.245 0.192
S 0.519 0.745 0.808
S 0.523 0.749 0.209
S 0.920 0.008 0.684
S 0.923 0.073 0.063

---

Entry 8:
Calculated powder diffraction line list of CsNi3Ge5 for a wavelength of 1.5418 Å, from a structure optimized by DFT (PBE).
No peak broadening, texture or thermal motion is included.

Peak list (6 most intense, 2θ = 10–90°, low angle first)
Position (°2θ)	Rel. int.
23.05	46
28.47	100
36.73	62
38.65	37
47.11	91
54.38	28

Cell and atoms:
Cell: 4.894 4.894 9.318 Å, 90.00 90.00 120.00°
Atoms (fractional coordinates):
Cs 0.000 0.000 0.000
Ni 0.000 0.500 0.500
Ni 0.500 0.000 0.500
Ni 0.500 0.500 0.500
Ge 0.000 0.000 0.500
Ge 0.333 0.667 0.277
Ge 0.333 0.667 0.723
Ge 0.667 0.333 0.277
Ge 0.667 0.333 0.723

---

Entry 9:
Calculated powder diffraction line list of Cs4ZnGe2O7 for a wavelength of 1.5418 Å, from a structure optimized by DFT (PBE).
No peak broadening, texture or thermal motion is included.

Peak list (6 most intense, 2θ = 10–90°, low angle first)
Position (°2θ)	Rel. int.
25.08	46
26.29	66
26.45	92
27.79	100
28.06	82
31.36	83

Cell and atoms:
Cell: 6.548 7.489 7.492 Å, 114.36 107.54 100.94°
Atoms (fractional coordinates):
Cs 0.059 0.277 0.047
Cs 0.318 0.238 0.597
Cs 0.682 0.762 0.403
Cs 0.941 0.723 0.953
Zn 0.500 0.000 0.000
Ge 0.227 0.732 0.577
Ge 0.773 0.268 0.423
O 0.000 0.500 0.500
O 0.197 0.949 0.777
O 0.209 0.744 0.347
O 0.492 0.741 0.747
O 0.508 0.259 0.253
O 0.791 0.256 0.653
O 0.803 0.051 0.223

---

Entry 10:
Calculated powder diffraction line list of CsPrGeSe4 for a wavelength of 1.5418 Å, from a structure optimized by DFT (PBE).
No peak broadening, texture or thermal motion is included.

Peak list (6 most intense, 2θ = 10–90°, low angle first)
Position (°2θ)	Rel. int.
27.76	71
29.30	100
30.46	72
31.37	57
31.75	57
36.84	72

Cell and atoms:
Cell: 6.980 7.193 9.823 Å, 90.00 107.94 90.00°
Atoms (fractional coordinates):
Cs 0.238 0.000 0.437
Cs 0.762 0.500 0.563
Pr 0.271 0.984 0.952
Pr 0.729 0.484 0.048
Ge 0.282 0.517 0.169
Ge 0.718 0.017 0.831
Se 0.075 0.582 0.931
Se 0.081 0.511 0.323
Se 0.468 0.258 0.786
Se 0.488 0.245 0.198
Se 0.512 0.745 0.802
Se 0.532 0.758 0.214
Se 0.919 0.011 0.677
Se 0.925 0.082 0.069

---

Entry 11:
Calculated powder diffraction line list of CsReGeS5 for a wavelength of 1.5418 Å, from a structure optimized by DFT (PBE).
No peak broadening, texture or thermal motion is included.

Peak list (6 most intense, 2θ = 10–90°, low angle first)
Position (°2θ)	Rel. int.
13.17	100
19.03	59
21.22	42
24.21	59
28.13	41
30.31	55

Cell and atoms:
Cell: 6.698 7.536 9.669 Å, 67.17 78.90 77.42°
Atoms (fractional coordinates):
Cs 0.105 0.355 0.290
Cs 0.895 0.645 0.710
Re 0.285 0.000 0.999
Re 0.715 0.000 0.001
Ge 0.478 0.701 0.371
Ge 0.522 0.299 0.629
S 0.049 0.809 0.979
S 0.192 0.870 0.275
S 0.297 0.096 0.728
S 0.426 0.610 0.628
S 0.438 0.256 0.982
S 0.562 0.744 0.018
S 0.574 0.390 0.372
S 0.703 0.904 0.272
S 0.808 0.130 0.725
S 0.951 0.191 0.021

---

Entry 12:
Calculated powder diffraction line list of Cs2ZnGe3S8 for a wavelength of 1.5418 Å, from a structure optimized by DFT (PBE).
No peak broadening, texture or thermal motion is included.

Peak list (6 most intense, 2θ = 10–90°, low angle first)
Position (°2θ)	Rel. int.
13.40	82
22.69	52
25.54	53
27.03	54
27.81	70
29.43	100

Cell and atoms:
Cell: 7.311 17.079 14.728 Å, 90.00 116.02 90.00°
Atoms (fractional coordinates):
Cs 0.133 0.061 0.389
Cs 0.133 0.439 0.889
Cs 0.221 0.651 0.455
Cs 0.221 0.849 0.955
Cs 0.779 0.151 0.045
Cs 0.779 0.349 0.545
Cs 0.867 0.561 0.111
Cs 0.867 0.939 0.611
Zn 0.241 0.146 0.743
Zn 0.241 0.354 0.243
Zn 0.759 0.646 0.757
Zn 0.759 0.854 0.257
Ge 0.277 0.649 0.777
Ge 0.277 0.851 0.277
Ge 0.463 0.020 0.202
Ge 0.463 0.480 0.702
Ge 0.477 0.685 0.206
Ge 0.477 0.815 0.706
Ge 0.523 0.185 0.294
Ge 0.523 0.315 0.794
Ge 0.537 0.520 0.298
Ge 0.537 0.980 0.798
Ge 0.723 0.149 0.723
Ge 0.723 0.351 0.223
S 0.110 0.647 0.870
S 0.110 0.853 0.370
S 0.170 0.544 0.667
S 0.170 0.956 0.167
S 0.176 0.742 0.175
S 0.176 0.758 0.675
S 0.332 0.034 0.849
S 0.332 0.466 0.349
S 0.341 0.246 0.355
S 0.341 0.254 0.855
S 0.362 0.141 0.131
S 0.362 0.359 0.631
S 0.388 0.563 0.135
S 0.388 0.937 0.635
S 0.393 0.149 0.631
S 0.393 0.351 0.131
S 0.607 0.649 0.869
S 0.607 0.851 0.369
S 0.612 0.063 0.365
S 0.612 0.437 0.865
S 0.638 0.641 0.369
S 0.638 0.859 0.869
S 0.659 0.746 0.145
S 0.659 0.754 0.645
S 0.668 0.534 0.651
S 0.668 0.966 0.151
S 0.824 0.242 0.325
S 0.824 0.258 0.825
S 0.830 0.044 0.833
S 0.830 0.456 0.333
S 0.890 0.147 0.630
S 0.890 0.353 0.130